(1)
Computed PXRD pattern of Ho3CBr3 for Cu Kα (λ = 1.5418 Å), from DFT lattice parameters and positions (PBE).
Peak positions follow from Bragg's law for the DFT cell and can differ from measured ones.

Top 10 peaks for 5 to 70 degrees two-theta, low angle first:
2θ 7.9, I = 39; 2θ 10.8, I = 31; 2θ 30.9, I = 19; 2θ 32.0, I = 44; 2θ 32.3, I = 100; 2θ 33.9, I = 30; 2θ 35.4, I = 20; 2θ 45.5, I = 25; 2θ 46.7, I = 24; 2θ 48.4, I = 20

Structural model:
```
14
Lattice="8.228 0.000 0.000 0.000 3.758 0.000 -0.416 0.000 11.175" Properties=species:S:1:pos:R:3 pbc="T T T"
Ho 0.543 0.939 4.417
Ho 0.622 0.939 9.255
Ho 2.270 2.818 6.921
Ho 5.543 0.939 4.254
Ho 7.190 2.818 1.919
Ho 7.270 2.818 6.758
C 0.741 0.939 6.910
C 7.072 2.818 4.265
Br 1.073 0.939 1.393
Br 2.718 2.818 9.754
Br 2.986 2.818 4.122
Br 4.827 0.939 7.053
Br 5.095 0.939 1.421
Br 6.740 2.818 9.782
```

***

(2)
Computed PXRD pattern of Nd2HoC2Br2 for Cu Kα (λ = 1.5418 Å), from DFT lattice parameters and positions (PBE).
Peak positions follow from Bragg's law for the DFT cell and can differ from measured ones.

Top 10 peaks for 5 to 70 degrees two-theta, low angle first:
2θ 11.3, I = 23; 2θ 26.1, I = 6; 2θ 27.8, I = 86; 2θ 34.9, I = 100; 2θ 39.7, I = 38; 2θ 53.9, I = 57; 2θ 57.4, I = 13; 2θ 65.0, I = 16; 2θ 66.6, I = 13; 2θ 69.0, I = 14

Structural model:
```
7
Lattice="-2.269 2.269 7.806 2.269 -2.269 7.806 2.269 2.269 -7.806" Properties=species:S:1:pos:R:3 pbc="T T T"
Nd 0.000 0.000 1.565
Nd 0.000 0.000 14.048
Ho 0.000 0.000 7.806
C 2.269 0.000 0.000
C 0.000 2.269 0.000
Br 0.000 0.000 4.837
Br 0.000 0.000 10.776
```

***

(3)
Computed PXRD pattern of TeCI2Br for Cu Kα (λ = 1.5418 Å), from DFT lattice parameters and positions (PBE).
Peak positions follow from Bragg's law for the DFT cell and can differ from measured ones.

Top 10 peaks for 5 to 70 degrees two-theta, low angle first:
2θ 17.1, I = 3; 2θ 18.5, I = 1; 2θ 30.6, I = 100; 2θ 34.5, I = 40; 2θ 37.5, I = 16; 2θ 49.6, I = 14; 2θ 51.8, I = 24; 2θ 59.4, I = 30; 2θ 63.4, I = 12; 2θ 63.8, I = 13

Structural model:
```
5
Lattice="5.199 0.000 0.000 0.000 5.199 0.000 0.000 0.000 4.801" Properties=species:S:1:pos:R:3 pbc="T T T"
Te 0.000 0.000 0.000
C 0.000 0.000 2.401
I 0.000 2.600 2.401
I 2.600 0.000 2.401
Br 2.600 2.600 0.000
```

***

(4)
Computed PXRD pattern of KCBr for Cu Kα (λ = 1.5418 Å), from DFT lattice parameters and positions (PBE).
Peak positions follow from Bragg's law for the DFT cell and can differ from measured ones.

Top 10 peaks for 5 to 70 degrees two-theta, low angle first:
2θ 11.0, I = 100; 2θ 14.6, I = 53; 2θ 19.8, I = 18; 2θ 24.1, I = 28; 2θ 30.8, I = 21; 2θ 35.3, I = 21; 2θ 36.5, I = 23; 2θ 37.4, I = 27; 2θ 39.1, I = 22; 2θ 40.4, I = 28

Structural model:
```
12
Lattice="9.338 0.000 0.000 0.000 2.803 0.000 0.000 0.000 16.045" Properties=species:S:1:pos:R:3 pbc="T T T"
K 0.851 0.701 2.652
K 3.818 2.102 10.675
K 5.520 0.701 5.370
K 8.487 2.102 13.393
C 0.020 2.102 0.062
C 4.649 0.701 8.085
C 4.688 2.102 7.961
C 9.318 0.701 15.983
Br 0.989 0.701 11.188
Br 3.680 2.102 3.166
Br 5.658 0.701 12.880
Br 8.348 2.102 4.857
```

***

- Which formula does entry 1 have?
  Ho3CBr3